No. 1
Diffraction record for PmDyY6. The powder X-ray diffraction pattern is simulated, not measured: it uses a PBE-relaxed structure and Cu Kα (λ = 1.5418 Å).
Kinematic intensities with the Lorentz-polarization factor, no thermal factor.

Crystal structure
```
data_PmDyY6
_chemical_formula_sum 'Pm1 Dy1 Y6'
_cell_length_a 6.574
_cell_length_b 6.799
_cell_length_c 6.970
_cell_angle_alpha 118.88
_cell_angle_beta 103.06
_cell_angle_gamma 90.07
_space_group_name_H-M_alt 'P -1'
_space_group_IT_number 2
loop_
_space_group_symop_operation_xyz
'x,y,z'
'-x,-y,-z'
loop_
_atom_site_label
_atom_site_fract_x
_atom_site_fract_y
_atom_site_fract_z
_atom_site_occupancy
Pm1 0.000 0.000 0.000 1
Dy1 0.500 0.000 0.000 1
Y1 0.233 0.576 0.483 1
Y2 0.252 0.547 0.002 1
Y3 0.270 0.094 0.523 1
```

Largest 10 diffraction maxima, low angle first, 10 to 90 degrees two-theta:
2θ = 15.0°, I = 20, (0 0 1)
2θ = 26.2°, I = 14, (0 2 -1)
2θ = 28.3°, I = 25, (2 0 -1)
2θ = 30.2°, I = 72, (0 2 0)
2θ = 30.4°, I = 100, (0 0 2)
2θ = 31.7°, I = 13, (1 -2 0)
2θ = 31.9°, I = 14, (1 2 -2)
2θ = 33.8°, I = 38, (2 1 0)
2θ = 34.0°, I = 31, (-2 1 1)
2θ = 58.5°, I = 14, (4 0 -2)



No. 2
Diffraction record for PmDy7Y3. The powder X-ray diffraction pattern is simulated, not measured: it uses a PBE-relaxed structure and Cu Kα (λ = 1.5418 Å).
Kinematic intensities with the Lorentz-polarization factor, no thermal factor.

Crystal structure
```
data_PmDy7Y3
_chemical_formula_sum 'Pm1 Dy7 Y3'
_cell_length_a 6.998
_cell_length_b 5.554
_cell_length_c 9.911
_cell_angle_alpha 90.00
_cell_angle_beta 110.39
_cell_angle_gamma 90.00
_space_group_name_H-M_alt 'P 1 2/m 1'
_space_group_IT_number 10
loop_
_space_group_symop_operation_xyz
'x,y,z'
'-x,-y,-z'
'-x,y,-z'
'x,-y,z'
loop_
_atom_site_label
_atom_site_fract_x
_atom_site_fract_y
_atom_site_fract_z
_atom_site_occupancy
Pm1 0.000 0.000 0.000 1
Dy1 0.000 0.000 0.500 1
Dy2 0.147 0.500 0.792 1
Dy3 0.323 0.500 0.143 1
Dy4 0.419 0.000 0.331 1
Y1 0.278 0.500 0.499 1
Y2 0.500 0.000 0.000 1
```

Largest 10 diffraction maxima, low angle first, 10 to 90 degrees two-theta:
2θ = 25.0°, I = 25, (0 1 2)
2θ = 25.5°, I = 26, (2 0 -1)
2θ = 31.7°, I = 100, (2 1 0)
2θ = 31.7°, I = 89, (2 1 -2)
2θ = 32.2°, I = 67, (0 2 0)
2θ = 33.1°, I = 63, (0 1 3)
2θ = 49.2°, I = 18, (1 2 -4)
2θ = 52.3°, I = 21, (4 0 -2)
2θ = 57.1°, I = 26, (2 3 0)
2θ = 62.8°, I = 24, (4 2 -2)



No. 3
Diffraction record for PmDyY3. The powder X-ray diffraction pattern is simulated, not measured: it uses a PBE-relaxed structure and Cu Kα (λ = 1.5418 Å).
Kinematic intensities with the Lorentz-polarization factor, no thermal factor.

Crystal structure
```
data_PmDyY3
_chemical_formula_sum 'Pm2 Dy2 Y6'
_cell_length_a 6.325
_cell_length_b 5.699
_cell_length_c 9.669
_cell_angle_alpha 90.00
_cell_angle_beta 109.00
_cell_angle_gamma 90.00
_space_group_name_H-M_alt 'P 1 21/m 1'
_space_group_IT_number 11
loop_
_space_group_symop_operation_xyz
'x,y,z'
'-x,-y,-z'
'-x,y+1/2,-z'
'x,-y+1/2,z'
loop_
_atom_site_label
_atom_site_fract_x
_atom_site_fract_y
_atom_site_fract_z
_atom_site_occupancy
Pm1 0.133 0.250 0.102 1
Dy1 0.269 0.750 0.699 1
Y1 0.065 0.750 0.302 1
Y2 0.332 0.250 0.500 1
Y3 0.465 0.750 0.101 1
```

Largest 10 diffraction maxima, low angle first, 10 to 90 degrees two-theta:
2θ = 28.2°, I = 24, (2 0 -1)
2θ = 31.4°, I = 24, (0 2 0)
2θ = 32.4°, I = 100, (1 1 2)
2θ = 42.7°, I = 16, (2 2 -1)
2θ = 49.9°, I = 19, (3 0 1)
2θ = 56.5°, I = 20, (1 3 2)
2θ = 60.2°, I = 22, (3 2 1)
2θ = 60.7°, I = 11, (2 1 4)
2θ = 82.3°, I = 7, (4 1 3)
2θ = 86.7°, I = 8, (3 4 1)



No. 4
Diffraction record for Pm2Dy12Y. The powder X-ray diffraction pattern is simulated, not measured: it uses a PBE-relaxed structure and Cu Kα (λ = 1.5418 Å).
Kinematic intensities with the Lorentz-polarization factor, no thermal factor.

Crystal structure
```
data_Pm2Dy12Y
_chemical_formula_sum 'Pm8 Dy48 Y4'
_cell_length_a 7.100
_cell_length_b 11.223
_cell_length_c 24.450
_cell_angle_alpha 90.00
_cell_angle_beta 94.13
_cell_angle_gamma 90.00
_space_group_name_H-M_alt 'C 1 2/m 1'
_space_group_IT_number 12
loop_
_space_group_symop_operation_xyz
'x,y,z'
'-x,-y,-z'
'-x,y,-z'
'x,-y,z'
'x+1/2,y+1/2,z'
'-x+1/2,-y+1/2,-z'
'-x+1/2,y+1/2,-z'
'x+1/2,-y+1/2,z'
loop_
_atom_site_label
_atom_site_fract_x
_atom_site_fract_y
_atom_site_fract_z
_atom_site_occupancy
Pm1 0.068 0.000 0.272 1
Pm2 0.069 0.500 0.272 1
Dy1 0.018 0.250 0.074 1
Dy2 0.112 0.250 0.445 1
Dy3 0.142 0.000 0.573 1
Dy4 0.143 0.500 0.572 1
Dy5 0.167 0.250 0.669 1
Dy6 0.200 0.249 0.800 1
Dy7 0.216 0.000 0.864 1
Dy8 0.216 0.500 0.864 1
Y1 0.250 0.000 0.000 1
```

Largest 10 diffraction maxima, low angle first, 10 to 90 degrees two-theta:
2θ = 30.2°, I = 100, (0 2 7)
2θ = 31.2°, I = 55, (2 2 -3)
2θ = 31.9°, I = 89, (0 4 0)
2θ = 32.3°, I = 43, (2 0 -6)
2θ = 32.5°, I = 96, (2 2 -4)
2θ = 33.5°, I = 45, (0 2 8)
2θ = 36.1°, I = 28, (2 2 5)
2θ = 46.0°, I = 32, (2 4 -6)
2θ = 59.8°, I = 24, (2 2 13)
2θ = 61.9°, I = 27, (4 4 -1)



No. 5
Diffraction record for PmDy2Y9. The powder X-ray diffraction pattern is simulated, not measured: it uses a PBE-relaxed structure and Cu Kα (λ = 1.5418 Å).
Kinematic intensities with the Lorentz-polarization factor, no thermal factor.

Crystal structure
```
data_PmDy2Y9
_chemical_formula_sum 'Pm1 Dy2 Y9'
_cell_length_a 5.055
_cell_length_b 5.055
_cell_length_c 15.163
_cell_angle_alpha 90.00
_cell_angle_beta 90.00
_cell_angle_gamma 90.00
_space_group_name_H-M_alt 'P 4/m m m'
_space_group_IT_number 123
_space_group_name_Hall '-P 4 2'
loop_
_atom_site_label
_atom_site_fract_x
_atom_site_fract_y
_atom_site_fract_z
_atom_site_occupancy
Pm1 0.000 0.000 0.000 1
Dy1 0.000 0.000 0.334 1
Y1 0.000 0.500 0.168 1
Y2 0.000 0.500 0.500 1
Y3 0.500 0.500 0.000 1
Y4 0.500 0.500 0.334 1
```

Largest 10 diffraction maxima, low angle first, 10 to 90 degrees two-theta:
2θ = 17.5°, I = 6, (1 0 0)
2θ = 24.9°, I = 6, (1 1 0)
2θ = 30.6°, I = 100, (1 1 3)
2θ = 35.5°, I = 50, (2 0 0)
2θ = 51.1°, I = 35, (2 2 0)
2θ = 60.8°, I = 41, (3 1 3)
2θ = 63.8°, I = 12, (2 2 6)
2θ = 75.2°, I = 5, (4 0 0)
2θ = 83.3°, I = 17, (3 3 3)
2θ = 86.0°, I = 15, (4 2 0)



No. 6
Diffraction record for Pm3Dy3Y8. The powder X-ray diffraction pattern is simulated, not measured: it uses a PBE-relaxed structure and Cu Kα (λ = 1.5418 Å).
Kinematic intensities with the Lorentz-polarization factor, no thermal factor.

Crystal structure
```
data_Pm3Dy3Y8
_chemical_formula_sum 'Pm6 Dy6 Y16'
_cell_length_a 5.685
_cell_length_b 10.831
_cell_length_c 15.083
_cell_angle_alpha 90.00
_cell_angle_beta 90.00
_cell_angle_gamma 90.00
_space_group_name_H-M_alt 'I m m m'
_space_group_IT_number 71
_space_group_name_Hall '-I 2 2'
loop_
_atom_site_label
_atom_site_fract_x
_atom_site_fract_y
_atom_site_fract_z
_atom_site_occupancy
Pm1 0.000 0.000 0.000 1
Pm2 0.000 0.500 0.319 1
Dy1 0.000 0.000 0.500 1
Dy2 0.000 0.297 0.500 1
Y1 0.000 0.159 0.279 1
Y2 0.000 0.342 0.103 1
```

Largest 10 diffraction maxima, low angle first, 10 to 90 degrees two-theta:
2θ = 28.9°, I = 24, (1 2 3)
2θ = 29.6°, I = 28, (1 1 4)
2θ = 30.5°, I = 29, (0 3 3)
2θ = 31.5°, I = 49, (2 0 0)
2θ = 31.7°, I = 100, (1 3 2)
2θ = 33.6°, I = 47, (1 0 5)
2θ = 44.4°, I = 21, (2 3 3)
2θ = 56.2°, I = 19, (3 3 2)
2θ = 57.5°, I = 22, (3 0 5)
2θ = 62.1°, I = 12, (1 6 5)